Diffraction record for InTe. The X-ray powder pattern is simulated, not measured: it uses a GGA-PBE-relaxed structure and Cu Kα, 1.54184 Å.

Peak list (7 most intense, 10 to 90 degrees two-theta, in order of rising 2θ)
- (2 0 0), 28.41°, 3.142 Å, intensity 100
- (2 2 0), 40.61°, 2.222 Å, intensity 76
- (2 2 2), 50.30°, 1.814 Å, intensity 27
- (4 0 0), 58.77°, 1.571 Å, intensity 12
- (4 2 0), 66.54°, 1.405 Å, intensity 34
- (4 2 2), 73.88°, 1.283 Å, intensity 25
- (4 4 0), 87.89°, 1.111 Å, intensity 8

Crystal structure
Cell: 6.2842 6.2842 6.2842 Å, 90.00 90.00 90.00°
Atoms (fractional coordinates):
In (0.0000, 0.0000, 0.0000)
In (0.0000, 0.5000, 0.5000)
In (0.5000, 0.0000, 0.5000)
In (0.5000, 0.5000, 0.0000)
Te (0.0000, 0.0000, 0.5000)
Te (0.0000, 0.5000, 0.0000)
Te (0.5000, 0.0000, 0.0000)
Te (0.5000, 0.5000, 0.5000)